This entry pairs a crystal structure of Zr3CuF6 with its simulated powder diffractogram. Radiation: Cu Kα (λ = 1.5418 Å). Structure: a DFT-relaxed cell (PBE, the Materials Project).
Lines closer than 0.1° are merged.

Structure:
```
data_Zr3CuF6
_space_group_name_H-M_alt 'P -1'
_space_group_IT_number 2
_cell_length_a 5.4669
_cell_length_b 5.4713
_cell_length_c 12.5381
_cell_angle_alpha 98.12
_cell_angle_beta 95.49
_cell_angle_gamma 114.47
loop_
_space_group_symop_operation_xyz
'x,y,z'
'-x,-y,-z'
loop_
_atom_site_label
_atom_site_type_symbol
_atom_site_fract_x
_atom_site_fract_y
_atom_site_fract_z
_atom_site_occupancy
Zr1 Zr 0.0000 0.0000 0.0000 1
Zr2 Zr 0.0000 0.5000 0.5000 1
Zr3 Zr 0.5000 0.0000 0.5000 1
Cu1 Cu 0.5000 0.5000 0.5000 1
F1 F 0.0418 0.0844 0.8530 1
F2 F 0.1148 0.7888 0.3933 1
F3 F 0.2257 0.8776 0.6154 1
```

Peak list (10 most intense, 2θ from 15° to 90°, sorted by position)
- 18.16°, d 4.886, intensity 486, hkl 0 1 -1
- 18.31°, d 4.846, intensity 239, hkl 1 0 -1
- 20.45°, d 4.343, intensity 651, hkl 1 -1 1
- 20.64°, d 4.303, intensity 292, hkl 1 0 1
- 20.85°, d 4.260, intensity 1000, hkl -1 1 1
- 29.21°, d 3.057, intensity 223, hkl 0 0 4
- 36.67°, d 2.451, intensity 278, hkl 2 0 0
- 36.84°, d 2.440, intensity 399, hkl 0 2 0
- 42.54°, d 2.125, intensity 404, hkl 0 2 2
- 52.43°, d 1.745, intensity 244, hkl 0 2 -6